1.
For DySiRu2C, DFT lattice parameters and positions (GGA-PBE) gives the simulated powder X-ray diffraction pattern in this record (copper Kα).
Neutral-atom scattering factors, no anomalous dispersion.

Crystal structure
```
data_DySiRu2C
_symmetry_space_group_name_H-M 'C m c m'
_symmetry_Int_Tables_number 63
_symmetry_space_group_name_Hall '-C 2c 2'
_cell_length_a 3.810
_cell_length_b 11.136
_cell_length_c 7.162
_cell_angle_alpha 90.00
_cell_angle_beta 90.00
_cell_angle_gamma 90.00
loop_
_atom_site_label
_atom_site_type_symbol
_atom_site_fract_x
_atom_site_fract_y
_atom_site_fract_z
_atom_site_occupancy
Dy1 Dy 0.000 0.048 0.250 1
Si1 Si 0.000 0.231 0.750 1
Ru1 Ru 0.000 0.336 0.057 1
C1 C 0.000 0.500 0.000 1
```

Principal peaks in the range 2θ from 10° to 90°, sorted by position:
- (1 1 1), 2θ 27.70, intensity 199
- (0 2 2), 2θ 29.66, intensity 358
- (1 3 0), 2θ 33.71, intensity 758
- (0 4 1), 2θ 34.57, intensity 428
- (1 1 2), 2θ 35.33, intensity 1000
- (1 3 1), 2θ 36.03, intensity 375
- (0 2 3), 2θ 41.12, intensity 456
- (2 0 0), 2θ 47.74, intensity 283
- (1 5 3), 2θ 61.97, intensity 286
- (2 2 3), 2θ 64.81, intensity 364

---

2.
For Ca2LaGaCu2O7, DFT lattice parameters and positions (GGA-PBE) gives the simulated powder X-ray diffraction pattern in this record (copper Kα).
Neutral-atom scattering factors, no anomalous dispersion.

Crystal structure
```
data_Ca2LaGaCu2O7
_symmetry_space_group_name_H-M 'I m a 2'
_symmetry_Int_Tables_number 46
_cell_length_a 22.230
_cell_length_b 5.646
_cell_length_c 5.445
_cell_angle_alpha 90.00
_cell_angle_beta 90.00
_cell_angle_gamma 90.00
loop_
_symmetry_equiv_pos_as_xyz
'x,y,z'
'-x,-y,z'
'-x+1/2,y,z'
'x+1/2,-y,z'
'x+1/2,y+1/2,z+1/2'
'-x+1/2,-y+1/2,z+1/2'
'-x,y+1/2,z+1/2'
'x,-y+1/2,z+1/2'
loop_
_atom_site_label
_atom_site_type_symbol
_atom_site_fract_x
_atom_site_fract_y
_atom_site_fract_z
_atom_site_occupancy
Ca1 Ca 0.155 0.044 0.000 1
La1 La 0.000 0.000 0.028 1
Ga1 Ga 0.250 0.573 0.978 1
Cu1 Cu 0.081 0.504 0.025 1
O1 O 0.070 0.248 0.276 1
O2 O 0.075 0.749 0.277 1
O3 O 0.180 0.070 0.572 1
O4 O 0.250 0.616 0.625 1
```

Principal peaks in the range 2θ from 10° to 90°, sorted by position:
- (2 1 1), 2θ 24.07, intensity 193
- (0 2 0), 2θ 31.70, intensity 242
- (0 0 2), 2θ 32.90, intensity 267
- (6 1 1), 2θ 33.28, intensity 1000
- (8 1 1), 2θ 39.77, intensity 172
- (0 2 2), 2θ 46.33, intensity 285
- (12 0 0), 2θ 49.18, intensity 125
- (6 3 1), 2θ 57.48, intensity 163
- (6 1 3), 2θ 58.98, intensity 188
- (12 2 2), 2θ 69.87, intensity 117

---

3.
For K7NbS6O24, DFT lattice parameters and positions (GGA-PBE) gives the simulated powder X-ray diffraction pattern in this record (copper Kα).
Neutral-atom scattering factors, no anomalous dispersion.

Crystal structure
```
data_K7NbS6O24
_symmetry_space_group_name_H-M 'R -3'
_symmetry_Int_Tables_number 148
_symmetry_space_group_name_Hall '-R 3'
_cell_length_a 15.4534
_cell_length_b 15.4534
_cell_length_c 9.4760
_cell_angle_alpha 90.00
_cell_angle_beta 90.00
_cell_angle_gamma 120.00
loop_
_atom_site_label
_atom_site_type_symbol
_atom_site_fract_x
_atom_site_fract_y
_atom_site_fract_z
_atom_site_occupancy
K1 K 0.0000 0.0000 0.0000 1
K2 K 0.0517 0.4460 0.7835 1
Nb1 Nb 0.0000 0.0000 0.5000 1
S1 S 0.0321 0.1913 0.7232 1
O1 O 0.0016 0.7418 0.3320 1
O2 O 0.0107 0.8494 0.1367 1
O3 O 0.0133 0.9013 0.3790 1
O4 O 0.0942 0.8591 0.7200 1
```

Principal peaks in the range 2θ from 10° to 90°, sorted by position:
- (1 1 0), 2θ 11.45, intensity 237
- (0 2 1), 2θ 16.22, intensity 134
- (3 -1 1), 2θ 19.90, intensity 98
- (3 -2 2), 2θ 25.77, intensity 1000
- (1 4 0), 2θ 30.60, intensity 337
- (3 0 3), 2θ 34.81, intensity 126
- (6 -2 2), 2θ 40.43, intensity 86
- (2 1 4), 2θ 42.15, intensity 138
- (3 2 4), 2θ 48.55, intensity 105
- (1 7 0), 2θ 51.54, intensity 160

---

4.
For SmAsPd, DFT lattice parameters and positions (GGA-PBE) gives the simulated powder X-ray diffraction pattern in this record (copper Kα).
Neutral-atom scattering factors, no anomalous dispersion.

Crystal structure
```
data_SmAsPd
_symmetry_space_group_name_H-M 'P 63 m c'
_symmetry_Int_Tables_number 186
_symmetry_space_group_name_Hall 'P 6c -2c'
_cell_length_a 4.3752
_cell_length_b 4.3752
_cell_length_c 7.6549
_cell_angle_alpha 90.00
_cell_angle_beta 90.00
_cell_angle_gamma 120.00
loop_
_atom_site_label
_atom_site_type_symbol
_atom_site_fract_x
_atom_site_fract_y
_atom_site_fract_z
_atom_site_occupancy
Sm1 Sm 0.0000 0.0000 0.0000 1
As1 As 0.3333 0.6667 0.2697 1
Pd1 Pd 0.3333 0.6667 0.7306 1
```

Principal peaks in the range 2θ from 10° to 90°, sorted by position:
- (1 0 0), 2θ 23.48, intensity 66
- (1 0 2), 2θ 33.27, intensity 1000
- (1 1 0), 2θ 41.27, intensity 539
- (0 0 4), 2θ 47.51, intensity 105
- (2 0 2), 2θ 54.01, intensity 250
- (1 1 4), 2θ 64.72, intensity 246
- (2 1 2), 2θ 70.16, intensity 227
- (3 0 0), 2θ 75.23, intensity 90
- (1 0 6), 2θ 79.22, intensity 68
- (2 2 0), 2θ 89.63, intensity 60